The following is a computed powder X-ray diffraction pattern of Li4Cu3TeO8. It was derived from a PBE-relaxed structure, using Cu Ka.
Intensities are scaled so that the largest is 100.

Largest 10 diffraction maxima, low angle first, 10° ≤ 2θ ≤ 90°:
h k l  Position (°2θ)  I_rel
1 0 1  17.81  14
0 0 3  18.45  100
0 2 1  34.36  55
2 0 2  36.06  26
0 2 4  42.28  72
2 0 5  46.49  20
0 2 7  56.53  15
2 2 0  60.42  22
2 0 8  62.23  19
2 2 3  63.75  19

```
data_Li4Cu3TeO8
_cell_length_a 6.1286
_cell_length_b 6.1286
_cell_length_c 14.4304
_cell_angle_alpha 90.00
_cell_angle_beta 90.00
_cell_angle_gamma 120.00
_symmetry_space_group_name_H-M 'R -3 m'
_symmetry_Int_Tables_number 166
_symmetry_space_group_name_Hall '-R 3 2"'
loop_
_atom_site_label
_atom_site_fract_x
_atom_site_fract_y
_atom_site_fract_z
Li1 0.0000 0.0000 0.0000
Li2 0.0000 0.5000 0.0000
Cu1 0.0000 0.5000 0.5000
Te1 0.0000 0.0000 0.5000
O1 0.0000 0.0000 0.2300
O2 0.0358 0.5179 0.2481
```

=====

The following is a computed powder X-ray diffraction pattern of LiCuTeO4. It was derived from a PBE-relaxed structure, using Cu Ka.
Intensities are scaled so that the largest is 100.

Largest 10 diffraction maxima, low angle first, 10° ≤ 2θ ≤ 90°:
h k l  Position (°2θ)  I_rel
1 0 0  14.32  44
1 1 1  22.79  88
1 0 2  25.15  47
1 1 2  29.06  30
2 1 1  34.04  100
1 0 3  34.36  50
3 1 1  47.68  19
3 2 1  54.54  29
4 0 0  59.82  21
2 2 4  60.24  43

```
data_LiCuTeO4
_cell_length_a 6.1846
_cell_length_b 6.1846
_cell_length_c 8.6365
_cell_angle_alpha 90.00
_cell_angle_beta 90.00
_cell_angle_gamma 90.00
_symmetry_space_group_name_H-M 'P 43 2 2'
_symmetry_Int_Tables_number 95
loop_
_symmetry_equiv_pos_as_xyz
'x,y,z'
'-y,x,z+3/4'
'-x,-y,z+1/2'
'y,-x,z+1/4'
'x,-y,-z+1/2'
'-y,-x,-z+3/4'
'-x,y,-z'
'y,x,-z+1/4'
loop_
_atom_site_label
_atom_site_fract_x
_atom_site_fract_y
_atom_site_fract_z
Li1 0.0000 0.2098 0.0000
Cu1 0.2461 0.2461 0.6250
Te1 0.2267 0.5000 0.2500
O1 0.0249 0.2657 0.2507
O2 0.2685 0.4836 0.0163
```

=====

The following is a computed powder X-ray diffraction pattern of Li4Ti3Cu3Te2O16. It was derived from a PBE-relaxed structure, using Cu Ka.
Intensities are scaled so that the largest is 100.

Largest 10 diffraction maxima, low angle first, 10° ≤ 2θ ≤ 90°:
h k l  Position (°2θ)  I_rel
2 0 -1  18.99  28
1 1 -1  19.14  62
2 0 1  19.41  100
1 1 -2  24.41  31
1 1 3  31.87  36
3 1 -2  34.42  33
0 2 2  34.88  32
3 1 2  35.24  30
4 0 1  35.97  31
6 2 0  62.04  29

```
data_Li4Ti3Cu3Te2O16
_cell_length_a 10.3761
_cell_length_b 5.9729
_cell_length_c 10.1271
_cell_angle_alpha 90.00
_cell_angle_beta 91.71
_cell_angle_gamma 90.00
_symmetry_space_group_name_H-M 'C 1 m 1'
_symmetry_Int_Tables_number 8
loop_
_symmetry_equiv_pos_as_xyz
'x,y,z'
'x,-y,z'
'x+1/2,y+1/2,z'
'x+1/2,-y+1/2,z'
loop_
_atom_site_label
_atom_site_fract_x
_atom_site_fract_y
_atom_site_fract_z
Li1 0.0000 0.0000 0.0000
Li2 0.0153 0.0000 0.5075
Li3 0.1722 0.5000 0.0806
Li4 0.3494 0.0000 0.5773
Ti1 0.3341 0.5000 0.7667
Ti2 0.4141 0.2407 0.2700
Cu1 0.0925 0.2540 0.7727
Cu2 0.1765 0.0000 0.2860
Te1 0.1752 0.5000 0.5034
Te2 0.3311 0.0000 0.9853
O1 0.0063 0.0000 0.1965
O2 0.0066 0.0000 0.6922
O3 0.0360 0.5000 0.6336
O4 0.0905 0.2568 0.4061
O5 0.1609 0.0000 0.9008
O6 0.1766 0.5000 0.8692
O7 0.2655 0.2878 0.6252
O8 0.2770 0.2503 0.1548
O9 0.3390 0.5000 0.3938
O10 0.3483 0.0000 0.3801
O11 0.4033 0.2572 0.8811
O12 0.4956 0.0000 0.1750
```

=====

The following is a computed powder X-ray diffraction pattern of Li2TiCuO4. It was derived from a PBE-relaxed structure, using Cu Ka.
Intensities are scaled so that the largest is 100.

Largest 10 diffraction maxima, low angle first, 10° ≤ 2θ ≤ 90°:
h k l  Position (°2θ)  I_rel
1 0 1  24.27  100
1 0 3  36.56  25
1 1 2  37.24  20
0 0 4  38.44  36
2 0 0  45.53  47
2 1 1  52.26  22
1 0 5  54.09  13
2 0 4  61.06  30
2 2 0  66.36  13
2 2 4  79.38  12

```
data_Li2TiCuO4
_cell_length_a 3.9844
_cell_length_b 3.9844
_cell_length_c 9.3684
_cell_angle_alpha 90.00
_cell_angle_beta 90.00
_cell_angle_gamma 90.00
_symmetry_space_group_name_H-M 'I -4 m 2'
_symmetry_Int_Tables_number 119
_symmetry_space_group_name_Hall 'I -4 -2'
loop_
_atom_site_label
_atom_site_fract_x
_atom_site_fract_y
_atom_site_fract_z
Li1 0.0000 0.0000 0.0000
Li2 0.0000 0.5000 0.2500
Ti1 0.0000 0.5000 0.7500
Cu1 0.0000 0.0000 0.5000
O1 0.0000 0.0000 0.2471
O2 0.0000 0.5000 0.5362
```

=====

The following is a computed powder X-ray diffraction pattern of Li2TiCuO4. It was derived from a PBE-relaxed structure, using Cu Ka.
Intensities are scaled so that the largest is 100.

Largest 10 diffraction maxima, low angle first, 10° ≤ 2θ ≤ 90°:
h k l  Position (°2θ)  I_rel
0 0 1  18.21  100
1 1 0  35.22  33
2 0 -1  36.23  13
2 0 0  37.18  14
1 1 1  42.54  57
2 0 -2  44.24  25
1 1 -2  47.43  10
1 1 -3  62.86  15
3 1 -1  63.24  14
2 2 -2  79.22  10

```
data_Li2TiCuO4
_cell_length_a 5.0661
_cell_length_b 2.9969
_cell_length_c 5.1029
_cell_angle_alpha 90.00
_cell_angle_beta 107.29
_cell_angle_gamma 90.00
_symmetry_space_group_name_H-M 'P 1 2/m 1'
_symmetry_Int_Tables_number 10
loop_
_symmetry_equiv_pos_as_xyz
'x,y,z'
'-x,-y,-z'
'-x,y,-z'
'x,-y,z'
loop_
_atom_site_label
_atom_site_fract_x
_atom_site_fract_y
_atom_site_fract_z
Li1 0.0000 0.0000 0.0000
Li2 0.5000 0.5000 0.0000
Ti1 0.0000 0.5000 0.5000
Cu1 0.5000 0.0000 0.5000
O1 0.2273 0.0000 0.7231
O2 0.2340 0.5000 0.2616
```

=====

The following is a computed powder X-ray diffraction pattern of Li5Ti2Cu5O12. It was derived from a PBE-relaxed structure, using Cu Ka.
Intensities are scaled so that the largest is 100.

Largest 10 diffraction maxima, low angle first, 10° ≤ 2θ ≤ 90°:
h k l  Position (°2θ)  I_rel
0 0 2  18.26  38
0 2 0  20.95  18
1 1 -1  21.09  32
1 1 1  21.31  38
0 2 2  27.93  17
1 1 3  33.94  24
0 0 4  36.95  52
2 0 2  37.56  84
1 3 -3  45.45  100
3 3 -1  60.38  69

```
data_Li5Ti2Cu5O12
_cell_length_a 5.5534
_cell_length_b 8.4808
_cell_length_c 9.7197
_cell_angle_alpha 90.00
_cell_angle_beta 90.89
_cell_angle_gamma 90.00
_symmetry_space_group_name_H-M 'C 1 2 1'
_symmetry_Int_Tables_number 5
loop_
_symmetry_equiv_pos_as_xyz
'x,y,z'
'-x,y,-z'
'x+1/2,y+1/2,z'
'-x+1/2,y+1/2,-z'
loop_
_atom_site_label
_atom_site_fract_x
_atom_site_fract_y
_atom_site_fract_z
Li1 0.0000 0.0000 0.0000
Li2 0.2341 0.8273 0.2419
Li3 0.2405 0.9942 0.7534
Ti1 0.0000 0.1671 0.5000
Ti2 0.0000 0.6681 0.0000
Cu1 0.0000 0.3278 0.0000
Cu2 0.0000 0.4960 0.5000
Cu3 0.0000 0.8342 0.5000
Cu4 0.2434 0.1572 0.2479
O1 0.0983 0.0050 0.3689
O2 0.1069 0.3280 0.3732
O3 0.1079 0.8157 0.8656
O4 0.1094 0.4945 0.8787
O5 0.1692 0.6644 0.4020
O6 0.1709 0.1692 0.9013
```

=====

The following is a computed powder X-ray diffraction pattern of Li2TiCuO4. It was derived from a PBE-relaxed structure, using Cu Ka.
Intensities are scaled so that the largest is 100.

Largest 10 diffraction maxima, low angle first, 10° ≤ 2θ ≤ 90°:
h k l  Position (°2θ)  I_rel
0 1 1  18.07  100
1 0 1  18.21  73
0 1 3  32.87  38
1 2 1  36.10  18
2 1 1  36.31  28
0 2 2  36.61  18
0 0 4  38.87  56
2 2 0  44.50  82
2 1 3  45.97  21
2 2 4  60.55  50

```
data_Li2TiCuO4
_cell_length_a 5.7283
_cell_length_b 5.7882
_cell_length_c 9.2666
_cell_angle_alpha 90.00
_cell_angle_beta 90.00
_cell_angle_gamma 90.00
_symmetry_space_group_name_H-M 'I m m a'
_symmetry_Int_Tables_number 74
_symmetry_space_group_name_Hall '-I 2b 2'
loop_
_atom_site_label
_atom_site_fract_x
_atom_site_fract_y
_atom_site_fract_z
Li1 0.0000 0.0000 0.0000
Li2 0.2500 0.2500 0.2500
Ti1 0.0000 0.0000 0.5000
Cu1 0.2500 0.2500 0.7500
O1 0.0000 0.0174 0.7177
O2 0.2356 0.2500 0.4831
```

=====

The following is a computed powder X-ray diffraction pattern of Li5Ti2Cu3O10. It was derived from a PBE-relaxed structure, using Cu Ka.
Intensities are scaled so that the largest is 100.

Largest 10 diffraction maxima, low angle first, 10° ≤ 2θ ≤ 90°:
h k l  Position (°2θ)  I_rel
0 0 1  12.52  100
0 1 -1  18.06  71
1 0 0  19.04  23
-2 1 1  36.40  21
0 2 -2  36.53  26
-1 2 1  38.06  78
1 -1 3  44.43  53
2 1 -2  45.38  50
0 1 4  60.55  34
3 0 1  65.39  26

```
data_Li5Ti2Cu3O10
_cell_length_a 5.0997
_cell_length_b 5.5536
_cell_length_c 7.6485
_cell_angle_alpha 103.23
_cell_angle_beta 103.32
_cell_angle_gamma 105.82
_symmetry_space_group_name_H-M 'P -1'
_symmetry_Int_Tables_number 2
loop_
_symmetry_equiv_pos_as_xyz
'x,y,z'
'-x,-y,-z'
loop_
_atom_site_label
_atom_site_fract_x
_atom_site_fract_y
_atom_site_fract_z
Li1 0.0000 0.0000 0.0000
Li2 0.0935 0.1935 0.7016
Li3 0.2910 0.6128 0.1157
Ti1 0.4044 0.8045 0.8060
Cu1 0.1978 0.3883 0.4002
Cu2 0.5000 0.0000 0.5000
O1 0.0425 0.6215 0.8344
O2 0.1470 0.8255 0.5673
O3 0.2836 0.9737 0.2548
O4 0.3714 0.1711 0.9549
O5 0.4416 0.4678 0.6591
```

=====

The following is a computed powder X-ray diffraction pattern of Li2ZrCuO4. It was derived from a PBE-relaxed structure, using Cu Ka.
Intensities are scaled so that the largest is 100.

Largest 10 diffraction maxima, low angle first, 10° ≤ 2θ ≤ 90°:
h k l  Position (°2θ)  I_rel
1 0 1  23.23  100
1 1 2  36.05  29
1 0 3  36.71  26
0 0 4  40.05  26
2 0 0  42.75  44
2 1 1  49.21  25
2 1 3  57.59  14
2 0 4  60.01  28
2 2 0  62.05  13
2 2 4  76.46  13

```
data_Li2ZrCuO4
_cell_length_a 4.2304
_cell_length_b 4.2304
_cell_length_c 9.0050
_cell_angle_alpha 90.00
_cell_angle_beta 90.00
_cell_angle_gamma 90.00
_symmetry_space_group_name_H-M 'I -4 m 2'
_symmetry_Int_Tables_number 119
_symmetry_space_group_name_Hall 'I -4 -2'
loop_
_atom_site_label
_atom_site_fract_x
_atom_site_fract_y
_atom_site_fract_z
Li1 0.0000 0.0000 0.0000
Li2 0.0000 0.5000 0.2500
Zr1 0.0000 0.5000 0.7500
Cu1 0.0000 0.0000 0.5000
O1 0.0000 0.0000 0.2470
O2 0.0000 0.5000 0.5129
```

=====

The following is a computed powder X-ray diffraction pattern of Li15Zr7Cu6O28. It was derived from a PBE-relaxed structure, using Cu Ka.
Intensities are scaled so that the largest is 100.

Largest 10 diffraction maxima, low angle first, 10° ≤ 2θ ≤ 90°:
h k l  Position (°2θ)  I_rel
1 -1 2  23.21  100
0 3 2  36.03  27
1 2 4  36.73  24
2 2 2  40.10  25
1 -3 3  42.66  21
-1 1 5  42.73  21
-2 2 3  49.15  24
0 4 5  57.56  12
1 3 7  60.03  20
0 2 -8  61.97  12

```
data_Li15Zr7Cu6O28
_cell_length_a 5.4017
_cell_length_b 8.0749
_cell_length_c 13.1334
_cell_angle_alpha 88.78
_cell_angle_beta 80.85
_cell_angle_gamma 87.02
_symmetry_space_group_name_H-M 'P 1'
_symmetry_Int_Tables_number 1
loop_
_symmetry_equiv_pos_as_xyz
'x,y,z'
loop_
_atom_site_label
_atom_site_fract_x
_atom_site_fract_y
_atom_site_fract_z
Li1 0.0000 0.0000 0.0000
Li2 0.0091 0.9541 0.6111
Li3 0.1581 0.2365 0.1823
Li4 0.1985 0.3084 0.5804
Li5 0.2933 0.5115 0.7581
Li6 0.3569 0.5988 0.1501
Li7 0.4347 0.8087 0.3290
Li8 0.4587 0.8721 0.7185
Li9 0.5742 0.0944 0.8978
Li10 0.5947 0.1532 0.2882
Li11 0.7207 0.3712 0.4735
Li12 0.7895 0.4603 0.8660
Li13 0.8652 0.6569 0.0399
Li14 0.8882 0.7299 0.4344
Li15 0.9356 0.8075 0.8246
Zr1 0.1053 0.1554 0.7916
Zr2 0.2714 0.4488 0.3654
Zr3 0.4088 0.7355 0.9328
Zr4 0.5371 0.0194 0.5047
Zr5 0.6908 0.3079 0.0719
Zr6 0.8321 0.5920 0.6515
Zr7 0.9579 0.8729 0.2208
Cu1 0.0740 0.0953 0.3959
Cu2 0.2264 0.3756 0.9698
Cu3 0.3588 0.6613 0.5432
Cu4 0.4922 0.9487 0.1111
Cu5 0.6542 0.2331 0.6858
Cu6 0.8085 0.5133 0.2560
O1 0.0116 0.4289 0.1032
O2 0.0527 0.5220 0.5070
O3 0.1065 0.6550 0.2900
O4 0.1152 0.5824 0.9070
O5 0.1412 0.7229 0.6747
O6 0.1964 0.8122 0.0797
O7 0.2219 0.9028 0.4643
O8 0.2389 0.9382 0.8608
O9 0.2649 0.0144 0.2526
O10 0.3222 0.0881 0.6475
O11 0.3676 0.1900 0.0403
O12 0.4004 0.2964 0.8332
O13 0.4204 0.2417 0.4357
O14 0.4975 0.3809 0.2224
O15 0.5402 0.4372 0.6226
O16 0.5520 0.5908 0.4080
O17 0.5724 0.5293 0.0081
O18 0.6314 0.6688 0.7934
O19 0.6668 0.7972 0.5754
O20 0.6750 0.7228 0.1901
O21 0.6933 0.8741 0.9734
O22 0.7346 0.9403 0.3597
O23 0.7967 0.0789 0.1461
O24 0.7997 0.0384 0.7505
O25 0.8531 0.1495 0.5318
O26 0.8763 0.2216 0.9317
O27 0.9681 0.3117 0.3289
O28 0.9810 0.3803 0.7222
```

=====

The following is a computed powder X-ray diffraction pattern of Li2CuP. It was derived from a PBE-relaxed structure, using Cu Ka.
Intensities are scaled so that the largest is 100.

Largest 10 diffraction maxima, low angle first, 10° ≤ 2θ ≤ 90°:
h k l  Position (°2θ)  I_rel
0 0 2  24.10  100
1 0 0  25.61  63
1 0 1  28.36  21
1 0 2  35.45  73
1 1 0  45.14  83
1 1 2  51.82  66
1 0 4  56.41  18
0 2 2  58.67  16
1 1 4  69.10  27
3 0 0  83.32  19

```
data_Li2CuP
_cell_length_a 4.0165
_cell_length_b 4.0165
_cell_length_c 7.3868
_cell_angle_alpha 90.00
_cell_angle_beta 90.00
_cell_angle_gamma 120.00
_symmetry_space_group_name_H-M 'P -3 m 1'
_symmetry_Int_Tables_number 164
_symmetry_space_group_name_Hall '-P 3 2"'
loop_
_atom_site_label
_atom_site_fract_x
_atom_site_fract_y
_atom_site_fract_z
Li1 0.3333 0.6667 0.0905
Li2 0.3333 0.6667 0.4055
Cu1 0.0000 0.0000 0.2446
P1 0.3333 0.6667 0.7484
```